Record 1
Theoretical powder X-ray diffraction pattern of CdCu2SiS4 for CuKα, from a cell relaxed with GGA-PBE.
Lines closer than 0.1° are merged.

Largest 8 diffraction maxima, sorted by position, 2θ from 5° to 70°:
(hkl), Position (°2θ), I_rel
2 1 0, 27.02, 84
0 2 0, 27.46, 39
0 0 2, 28.40, 79
2 1 1, 30.60, 100
0 2 1, 31.00, 46
2 3 0, 48.29, 56
2 1 3, 51.69, 64
2 3 2, 56.97, 38

Cell and atoms:
```
data_CdCu2SiS4
_chemical_formula_sum 'Cd2 Cu4 Si2 S8'
_symmetry_space_group_name_H-M 'P m n 21'
_symmetry_Int_Tables_number 31
_cell_length_a 7.661
_cell_length_b 6.495
_cell_length_c 6.284
_cell_angle_alpha 90.00
_cell_angle_beta 90.00
_cell_angle_gamma 90.00
loop_
_symmetry_equiv_pos_as_xyz
'x,y,z'
'-x+1/2,-y,z+1/2'
'-x,y,z'
'x+1/2,-y,z+1/2'
loop_
_atom_site_label
_atom_site_type_symbol
_atom_site_fract_x
_atom_site_fract_y
_atom_site_fract_z
Cd1 Cd 0.000 0.151 0.000
Cu1 Cu 0.248 0.324 0.503
Si1 Si 0.000 0.819 0.496
S1 S 0.000 0.141 0.408
S2 S 0.000 0.790 0.839
S3 S 0.224 0.659 0.369
```

Record 2
Theoretical powder X-ray diffraction pattern of Ca4PtN4 for CuKα, from a cell relaxed with GGA-PBE.
Lines closer than 0.1° are merged.

Largest 8 diffraction maxima, sorted by position, 2θ from 5° to 70°:
(hkl), Position (°2θ), I_rel
1 0 0, 16.21, 93
0 1 -1, 18.30, 100
0 0 2, 22.54, 79
1 0 2, 23.09, 68
0 2 0, 30.34, 95
2 0 1, 30.92, 69
1 1 3, 34.92, 84
1 -1 3, 37.20, 68

Cell and atoms:
```
data_Ca4PtN4
_chemical_formula_sum 'Ca8 Pt2 N8'
_symmetry_space_group_name_H-M 'P -1'
_symmetry_Int_Tables_number 2
_cell_length_a 6.004
_cell_length_b 6.123
_cell_length_c 8.358
_cell_angle_alpha 87.85
_cell_angle_beta 71.11
_cell_angle_gamma 74.48
loop_
_symmetry_equiv_pos_as_xyz
'x,y,z'
'-x,-y,-z'
loop_
_atom_site_label
_atom_site_type_symbol
_atom_site_fract_x
_atom_site_fract_y
_atom_site_fract_z
Ca1 Ca 0.038 0.240 0.418
Ca2 Ca 0.158 0.200 0.014
Ca3 Ca 0.284 0.696 0.149
Ca4 Ca 0.403 0.288 0.627
Pt1 Pt 0.401 0.777 0.758
N1 N 0.108 0.038 0.759
N2 N 0.258 0.529 0.881
N3 N 0.285 0.491 0.390
N4 N 0.403 0.010 0.221
```

Record 3
Theoretical powder X-ray diffraction pattern of CeSe2 for CuKα, from a cell relaxed with GGA-PBE.
Lines closer than 0.1° are merged.

Largest 8 diffraction maxima, sorted by position, 2θ from 5° to 70°:
(hkl), Position (°2θ), I_rel
0 0 1, 9.48, 100
0 1 0, 10.68, 57
1 0 0, 11.13, 83
1 1 0, 11.71, 72
1 0 1, 13.92, 50
0 0 2, 19.02, 44
2 0 0, 22.36, 64
2 2 0, 23.53, 45

Cell and atoms:
```
data_CeSe2
_chemical_formula_sum 'Ce4 Se8'
_symmetry_space_group_name_H-M 'P 1'
_symmetry_Int_Tables_number 1
_cell_length_a 8.837
_cell_length_b 9.169
_cell_length_c 9.392
_cell_angle_alpha 86.41
_cell_angle_beta 83.48
_cell_angle_gamma 64.67
loop_
_symmetry_equiv_pos_as_xyz
'x,y,z'
loop_
_atom_site_label
_atom_site_type_symbol
_atom_site_fract_x
_atom_site_fract_y
_atom_site_fract_z
Ce1 Ce 0.000 0.000 0.000
Ce2 Ce 0.022 0.506 0.908
Ce3 Ce 0.504 0.986 0.796
Ce4 Ce 0.891 0.767 0.402
Se1 Se 0.001 0.533 0.203
Se2 Se 0.054 0.626 0.634
Se3 Se 0.322 0.820 0.897
Se4 Se 0.354 0.290 0.888
Se5 Se 0.563 0.936 0.509
Se6 Se 0.791 0.854 0.947
Se7 Se 0.888 0.293 0.873
Se8 Se 0.996 0.993 0.289
```

Record 4
Theoretical powder X-ray diffraction pattern of Na2CuSbCl6 for CuKα, from a cell relaxed with GGA-PBE.
Lines closer than 0.1° are merged.

Largest 8 diffraction maxima, sorted by position, 2θ from 5° to 70°:
(hkl), Position (°2θ), I_rel
2 0 0, 17.31, 100
2 2 0, 24.57, 50
4 0 0, 35.03, 73
4 2 0, 39.32, 46
4 2 2, 43.25, 23
4 4 0, 50.38, 47
6 0 0, 53.67, 22
4 4 4, 62.83, 15

Cell and atoms:
```
data_Na2CuSbCl6
_chemical_formula_sum 'Na8 Cu4 Sb4 Cl24'
_symmetry_space_group_name_H-M 'F m -3 m'
_symmetry_Int_Tables_number 225
_symmetry_space_group_name_Hall '-F 4 2 3'
_cell_length_a 10.247
_cell_length_b 10.247
_cell_length_c 10.247
_cell_angle_alpha 90.00
_cell_angle_beta 90.00
_cell_angle_gamma 90.00
loop_
_atom_site_label
_atom_site_type_symbol
_atom_site_fract_x
_atom_site_fract_y
_atom_site_fract_z
Na1 Na 0.250 0.250 0.250
Cu1 Cu 0.000 0.000 0.000
Sb1 Sb 0.000 0.000 0.500
Cl1 Cl 0.000 0.000 0.241
```

Record 5
Theoretical powder X-ray diffraction pattern of Sm2Cl2F for CuKα, from a cell relaxed with GGA-PBE.
Lines closer than 0.1° are merged.

Largest 8 diffraction maxima, sorted by position, 2θ from 5° to 70°:
(hkl), Position (°2θ), I_rel
0 0 1, 6.67, 57
0 0 2, 13.36, 30
1 0 0, 22.82, 100
1 0 2, 26.54, 24
1 0 3, 30.59, 27
1 1 0, 32.50, 40
1 0 6, 47.31, 22
2 1 0, 52.51, 20

Cell and atoms:
```
data_Sm2Cl2F
_chemical_formula_sum 'Sm2 Cl2 F1'
_symmetry_space_group_name_H-M 'P 4/m m m'
_symmetry_Int_Tables_number 123
_symmetry_space_group_name_Hall '-P 4 2'
_cell_length_a 3.897
_cell_length_b 3.897
_cell_length_c 13.252
_cell_angle_alpha 90.00
_cell_angle_beta 90.00
_cell_angle_gamma 90.00
loop_
_atom_site_label
_atom_site_type_symbol
_atom_site_fract_x
_atom_site_fract_y
_atom_site_fract_z
Sm1 Sm 0.000 0.000 0.173
Cl1 Cl 0.000 0.000 0.357
F1 F 0.000 0.000 0.000
```

Record 6
Theoretical powder X-ray diffraction pattern of MgO for CuKα, from a cell relaxed with GGA-PBE.
Lines closer than 0.1° are merged.

Largest 3 diffraction maxima, sorted by position, 2θ from 5° to 70°:
(hkl), Position (°2θ), I_rel
1 1 1, 36.57, 10
2 0 0, 42.47, 100
2 2 0, 61.63, 56

Cell and atoms:
```
data_MgO
_chemical_formula_sum 'Mg4 O4'
_symmetry_space_group_name_H-M 'F m -3 m'
_symmetry_Int_Tables_number 225
_symmetry_space_group_name_Hall '-F 4 2 3'
_cell_length_a 4.256
_cell_length_b 4.256
_cell_length_c 4.256
_cell_angle_alpha 90.00
_cell_angle_beta 90.00
_cell_angle_gamma 90.00
loop_
_atom_site_label
_atom_site_type_symbol
_atom_site_fract_x
_atom_site_fract_y
_atom_site_fract_z
Mg1 Mg 0.000 0.000 0.000
O1 O 0.000 0.000 0.500
```

Record 7
Theoretical powder X-ray diffraction pattern of PmTl3 for CuKα, from a cell relaxed with GGA-PBE.
Lines closer than 0.1° are merged.

Largest 8 diffraction maxima, sorted by position, 2θ from 5° to 70°:
(hkl), Position (°2θ), I_rel
1 0 0, 18.39, 1
1 1 0, 26.12, 1
1 1 1, 32.13, 100
2 0 0, 37.27, 51
2 1 0, 41.86, 1
2 2 0, 53.73, 36
3 1 1, 63.99, 43
2 2 2, 67.20, 12

Cell and atoms:
```
data_PmTl3
_chemical_formula_sum 'Pm1 Tl3'
_symmetry_space_group_name_H-M 'P m -3 m'
_symmetry_Int_Tables_number 221
_symmetry_space_group_name_Hall '-P 4 2 3'
_cell_length_a 4.825
_cell_length_b 4.825
_cell_length_c 4.825
_cell_angle_alpha 90.00
_cell_angle_beta 90.00
_cell_angle_gamma 90.00
loop_
_atom_site_label
_atom_site_type_symbol
_atom_site_fract_x
_atom_site_fract_y
_atom_site_fract_z
Pm1 Pm 0.000 0.000 0.000
Tl1 Tl 0.000 0.500 0.500
```

Record 8
Theoretical powder X-ray diffraction pattern of K2NaCl3 for CuKα, from a cell relaxed with GGA-PBE.
Lines closer than 0.1° are merged.

Largest 8 diffraction maxima, sorted by position, 2θ from 5° to 70°:
(hkl), Position (°2θ), I_rel
0 1 2, 28.99, 100
1 0 3, 34.60, 6
1 0 4, 41.32, 30
1 1 0, 41.61, 34
2 0 2, 51.52, 16
0 2 4, 60.09, 9
1 1 6, 67.87, 9
1 2 2, 68.29, 13

Cell and atoms:
```
data_K2NaCl3
_chemical_formula_sum 'K2 Na1 Cl3'
_symmetry_space_group_name_H-M 'P -3 m 1'
_symmetry_Int_Tables_number 164
_symmetry_space_group_name_Hall '-P 3 2"'
_cell_length_a 4.3404
_cell_length_b 4.3404
_cell_length_c 10.7417
_cell_angle_alpha 90.00
_cell_angle_beta 90.00
_cell_angle_gamma 120.00
loop_
_atom_site_label
_atom_site_type_symbol
_atom_site_fract_x
_atom_site_fract_y
_atom_site_fract_z
K1 K 0.3333 0.6667 0.1788
Na1 Na 0.0000 0.0000 0.5000
Cl1 Cl 0.0000 0.0000 0.0000
Cl2 Cl 0.3333 0.6667 0.6428
```